Computed powder XRD pattern
Compound: HgH4C12O3F8
Radiation: λ = 1.5418 Å (Cu Kα)
Structure: the PBE geometry in the Materials Project
Lines closer than 0.1° are merged.

Atomic structure:
Cell lengths 7.3943, 8.2920, 11.7278 Å; angles 89.77, 80.46, 80.00 degrees
Space group P-1 (No. 2)
Symmetry-distinct sites (fractional):
Hg 0.1597 0.0555 0.1825 x2
H 0.1429 0.4640 0.2439 x2
H 0.1856 0.5813 0.6492 x2
H 0.3901 0.3379 0.3317 x2
H 0.4577 0.3308 0.1993 x2
C 0.0243 0.3933 0.8465 x2
C 0.0634 0.8456 0.3883 x2
C 0.0776 0.7486 0.9784 x2
C 0.0895 0.7486 0.4830 x2
C 0.1033 0.1906 0.0379 x2
C 0.1178 0.6514 0.0711 x2
C 0.2048 0.9173 0.3268 x2
C 0.2077 0.3328 0.8627 x2
C 0.2436 0.2333 0.9550 x2
C 0.2614 0.7197 0.5216 x2
C 0.3752 0.8892 0.3656 x2
C 0.4046 0.7922 0.4601 x2
O 0.0070 0.5098 0.2443 x2
O 0.2951 0.6290 0.6144 x2
O 0.3453 0.3422 0.2574 x2
F 0.0527 0.3190 0.4579 x2
F 0.1087 0.1287 0.6428 x2
F 0.2254 0.7810 0.8998 x2
F 0.2981 0.5924 0.0807 x2
F 0.3509 0.3765 0.7883 x2
F 0.4259 0.1801 0.9644 x2
F 0.4270 0.2331 0.5045 x2
F 0.4803 0.0425 0.6889 x2

Largest 10 diffraction maxima, low angle first, 2θ from 5° to 70°:
two_theta	I/Imax	(hkl)
10.84	83	0 1 0
12.33	41	1 0 0
15.58	59	1 0 -1
15.95	51	1 1 1
20.34	39	-1 1 1
23.87	35	1 2 1
26.96	50	1 2 2
27.06	100	0 2 2
28.72	36	2 -1 1
37.24	40	3 1 0

---

Computed powder XRD pattern
Compound: HgH4C2S2O8F6
Radiation: λ = 1.5418 Å (Cu Kα)
Structure: the PBE geometry in the Materials Project
Lines closer than 0.1° are merged.

Atomic structure:
Cell lengths 8.0020, 8.1346, 10.2245 Å; angles 97.87, 98.44, 96.39 degrees
Space group P-1 (No. 2)
Symmetry-distinct sites (fractional):
Hg 0.2186 0.2376 0.0056 x2
H 0.0501 0.4435 0.8555 x2
H 0.0524 0.7421 0.1787 x2
H 0.3218 0.0246 0.1738 x2
H 0.4850 0.1582 0.1682 x2
C 0.0638 0.7928 0.6283 x2
C 0.4758 0.6575 0.3402 x2
S 0.1205 0.7999 0.8139 x2
S 0.4004 0.7089 0.1697 x2
O 0.0140 0.6537 0.8440 x2
O 0.0645 0.3224 0.8403 x2
O 0.0659 0.9575 0.8700 x2
O 0.2678 0.8190 0.1918 x2
O 0.3023 0.7916 0.8375 x2
O 0.3341 0.5474 0.0878 x2
O 0.3603 0.1458 0.1715 x2
O 0.4492 0.2003 0.8654 x2
F 0.1006 0.6491 0.5629 x2
F 0.1038 0.1976 0.4063 x2
F 0.1555 0.9234 0.5912 x2
F 0.3486 0.5635 0.3809 x2
F 0.3912 0.4305 0.6665 x2
F 0.4741 0.2014 0.5700 x2

Largest 10 diffraction maxima, low angle first, 2θ from 5° to 70°:
two_theta	I/Imax	(hkl)
8.85	100	0 0 1
14.73	21	1 -1 0
17.28	51	1 -1 1
20.71	29	1 1 1
21.78	22	1 1 -2
22.27	30	0 2 0
22.99	43	2 0 -1
25.28	22	0 2 1
30.81	23	1 -1 3
34.65	14	3 -1 0

---

Computed powder XRD pattern
Compound: HoH8C2O8F
Radiation: λ = 1.5418 Å (Cu Kα)
Structure: the PBE geometry in the Materials Project
Lines closer than 0.1° are merged.

Atomic structure:
Cell lengths 12.0266, 11.1495, 8.1906 Å; angles 90.00, 126.92, 90.00 degrees
Space group C2/c (No. 15)
Symmetry-distinct sites (fractional):
Ho 0.0000 0.0689 0.2500 x4
H 0.0100 0.3303 0.9852 x8
H 0.0589 0.3819 0.8603 x8
H 0.1956 0.1080 0.0679 x8
H 0.2431 0.4089 0.0611 x8
C 0.2206 0.2723 0.5569 x8
O 0.0696 0.3925 0.9866 x8
O 0.1031 0.2309 0.4954 x8
O 0.1766 0.0766 0.9405 x8
O 0.2047 0.1537 0.2989 x8
F 0.0000 0.0000 0.0000 x4

Largest 10 diffraction maxima, low angle first, 2θ from 5° to 70°:
two_theta	I/Imax	(hkl)
12.16	100	1 1 0
13.46	28	1 1 -1
18.46	15	2 0 0
20.93	27	0 2 1
21.85	27	2 0 -2
24.21	24	1 1 -2
24.45	15	2 2 0
25.85	11	3 1 -2
31.71	26	1 3 1
35.00	17	4 2 -1

---

Computed powder XRD pattern
Compound: KH4C6O3F5
Radiation: λ = 1.5418 Å (Cu Kα)
Structure: the PBE geometry in the Materials Project
Lines closer than 0.1° are merged.

Atomic structure:
Cell lengths 9.6368, 18.3950, 7.0779 Å; angles 90.00, 131.44, 90.00 degrees
Space group C2/c (No. 15)
Symmetry-distinct sites (fractional):
K 0.0000 0.0653 0.2500 x4
H 0.1649 0.4766 0.7495 x8
H 0.1736 0.4632 0.1029 x8
C 0.0000 0.1985 0.7500 x4
C 0.0000 0.3548 0.7500 x4
C 0.0644 0.2372 0.6522 x8
C 0.0657 0.3127 0.6549 x8
O 0.0000 0.4263 0.7500 x4
O 0.2470 0.0083 0.7401 x8
F 0.0000 0.1247 0.7500 x4
F 0.1268 0.2002 0.5547 x8
F 0.1339 0.3479 0.5621 x8

Largest 10 diffraction maxima, low angle first, 2θ from 5° to 70°:
two_theta	I/Imax	(hkl)
13.46	16	1 1 -1
19.31	23	0 2 1
24.65	27	2 0 0
26.80	18	2 4 -1
27.08	100	1 1 1
34.68	27	2 6 -1
35.21	17	0 2 2
36.33	26	1 7 0
37.34	25	4 0 -2
38.95	16	2 6 -2